1.
The following is a calculated powder diffraction line list of Zn2BiOsO8. It was derived from a structure optimized by DFT (PBE), using CuKα.

Most intense lines, 2θ = 5–70°, sorted by position:
- 2θ = 18.7°, I = 53.4
- 2θ = 26.0°, I = 60.4
- 2θ = 27.1°, I = 53.7
- 2θ = 33.4°, I = 100.0
- 2θ = 37.9°, I = 28.2
- 2θ = 38.2°, I = 18.6
- 2θ = 50.8°, I = 40.8
- 2θ = 52.1°, I = 37.3
- 2θ = 63.4°, I = 12.1
- 2θ = 65.6°, I = 22.4

Structure:
```
12
Lattice="3.289 -3.426 0.000 3.289 3.426 0.000 0.000 0.000 6.500" Properties=species:S:1:pos:R:3 pbc="T T T"
Zn 0.000 0.000 1.591
Zn 0.000 0.000 4.909
Bi 3.289 0.000 3.250
Os 3.289 0.000 0.000
O 1.193 0.000 3.250
O 1.426 0.000 0.000
O 3.289 1.301 1.402
O 3.289 1.301 5.097
O 3.289 -1.301 1.402
O 3.289 -1.301 5.097
O 5.152 0.000 0.000
O 5.385 0.000 3.250
```

2.
The following is a calculated powder diffraction line list of Ca3BI3N2. It was derived from a structure optimized by DFT (PBE), using CuKα.

Most intense lines, 2θ = 5–70°, sorted by position:
- 2θ = 21.1°, I = 18.4
- 2θ = 25.4°, I = 40.7
- 2θ = 26.1°, I = 11.9
- 2θ = 28.0°, I = 11.2
- 2θ = 28.2°, I = 100.0
- 2θ = 37.7°, I = 38.3
- 2θ = 42.8°, I = 26.6
- 2θ = 43.0°, I = 11.2
- 2θ = 52.1°, I = 13.2
- 2θ = 62.4°, I = 12.7

Structure:
```
36
Lattice="8.443 4.874 4.203 -8.443 4.874 4.203 0.000 -9.749 4.203" Properties=species:S:1:pos:R:3 pbc="T T T"
Ca -4.350 -2.215 4.203
Ca -6.087 0.795 4.203
Ca -2.043 0.904 4.106
Ca 0.239 -2.221 4.106
Ca 2.355 -5.669 4.203
Ca 1.804 1.317 4.106
Ca -4.350 2.215 8.406
Ca 0.257 4.874 4.203
Ca -2.043 -0.904 8.503
Ca 3.732 4.874 4.203
Ca 1.804 -1.317 8.503
Ca 0.239 2.221 8.503
B -4.000 0.000 6.305
B 2.000 -3.464 6.305
B 0.000 0.000 6.305
B 2.000 3.464 6.305
I -8.366 0.000 6.305
I -6.110 -3.653 6.468
I -0.109 -7.118 6.141
I -6.110 3.653 6.141
I -1.908 -3.305 6.305
I 4.183 -7.245 6.305
I -1.908 3.305 6.305
I 3.817 0.000 6.305
I -0.109 7.118 6.468
I 6.218 -3.465 6.468
I 6.218 3.465 6.141
I 4.183 7.245 6.305
N -4.015 -0.031 4.963
N -4.015 0.031 7.646
N 0.000 0.000 4.952
N 2.034 -3.462 4.963
N 1.981 -3.493 7.646
N 0.000 0.000 7.657
N 1.981 3.493 4.963
N 2.034 3.462 7.646
```

3.
The following is a calculated powder diffraction line list of MgAg2Cl. It was derived from a structure optimized by DFT (PBE), using CuKα.

Most intense lines, 2θ = 5–70°, sorted by position:
- 2θ = 15.7°, I = 100.0
- 2θ = 31.7°, I = 59.5
- 2θ = 33.8°, I = 16.2
- 2θ = 34.0°, I = 49.2
- 2θ = 37.5°, I = 74.3
- 2θ = 37.6°, I = 24.3
- 2θ = 43.9°, I = 46.5
- 2θ = 47.2°, I = 37.3
- 2θ = 58.3°, I = 19.0
- 2θ = 60.4°, I = 22.8

Structure:
```
4
Lattice="2.755 -5.642 0.000 2.755 5.642 0.000 -1.961 0.000 2.650" Properties=species:S:1:pos:R:3 pbc="T T T"
Mg 0.000 0.000 0.000
Ag 0.397 2.821 1.325
Ag 0.397 -2.821 1.325
Cl 2.755 0.000 0.000
```

4.
The following is a calculated powder diffraction line list of NdGdDyLu. It was derived from a structure optimized by DFT (PBE), using CuKα.

Most intense lines, 2θ = 5–70°, sorted by position:
- 2θ = 31.5°, I = 100.0
- 2θ = 45.1°, I = 18.6
- 2θ = 56.1°, I = 39.3
- 2θ = 65.8°, I = 12.2

Structure:
```
4
Lattice="0.000 4.016 4.016 4.016 0.000 4.016 4.016 4.016 0.000" Properties=species:S:1:pos:R:3 pbc="T T T"
Nd 0.000 0.000 0.000
Gd 4.016 4.016 4.016
Dy 6.025 6.025 6.025
Lu 2.008 2.008 2.008
```

5.
The following is a calculated powder diffraction line list of TlZnW2. It was derived from a structure optimized by DFT (PBE), using CuKα.

Most intense lines, 2θ = 5–70°, sorted by position:
- 2θ = 13.7°, I = 15.9
- 2θ = 26.4°, I = 12.4
- 2θ = 35.9°, I = 100.0
- 2θ = 38.4°, I = 41.3
- 2θ = 39.0°, I = 78.8
- 2θ = 45.8°, I = 28.1
- 2θ = 46.0°, I = 19.9
- 2θ = 61.3°, I = 21.3
- 2θ = 65.7°, I = 14.5
- 2θ = 66.9°, I = 13.0

Structure:
```
4
Lattice="2.889 0.000 0.000 0.000 3.959 0.000 -1.124 0.000 6.463" Properties=species:S:1:pos:R:3 pbc="T T T"
Tl 0.000 0.000 0.000
Zn 0.934 1.979 4.595
W -0.508 0.000 3.284
W 1.476 1.979 1.911
```

6.
The following is a calculated powder diffraction line list of Li6SnPt2. It was derived from a structure optimized by DFT (PBE), using CuKα.

Most intense lines, 2θ = 5–70°, sorted by position:
- 2θ = 17.4°, I = 4.9
- 2θ = 23.4°, I = 100.0
- 2θ = 29.3°, I = 1.3
- 2θ = 33.3°, I = 12.9
- 2θ = 37.9°, I = 1.4
- 2θ = 41.2°, I = 80.7
- 2θ = 47.9°, I = 15.3
- 2θ = 54.0°, I = 20.2
- 2θ = 59.6°, I = 18.1
- 2θ = 65.0°, I = 12.5

Structure:
```
9
Lattice="3.798 2.193 2.687 -3.798 2.193 2.687 0.000 -4.386 2.687" Properties=species:S:1:pos:R:3 pbc="T T T"
Li -1.239 -2.240 2.687
Li -2.559 0.047 2.687
Li 1.239 -2.240 2.687
Li -1.320 2.193 2.687
Li 2.559 0.047 2.687
Li 1.320 2.193 2.687
Sn 0.000 0.000 4.031
Pt 0.000 0.000 1.321
Pt 0.000 0.000 6.741
```

7.
The following is a calculated powder diffraction line list of Pa2AlFe. It was derived from a structure optimized by DFT (PBE), using CuKα.

Most intense lines, 2θ = 5–70°, sorted by position:
- 2θ = 18.2°, I = 16.8
- 2θ = 23.4°, I = 56.8
- 2θ = 30.5°, I = 22.1
- 2θ = 30.7°, I = 28.5
- 2θ = 34.2°, I = 14.0
- 2θ = 35.2°, I = 100.0
- 2θ = 37.0°, I = 11.2
- 2θ = 43.8°, I = 28.5
- 2θ = 57.3°, I = 13.8
- 2θ = 57.5°, I = 24.7

Structure:
```
16
Lattice="5.866 0.000 0.000 0.000 5.823 0.000 0.000 0.000 9.723" Properties=species:S:1:pos:R:3 pbc="T T T"
Pa 0.250 1.351 0.884
Pa 0.250 1.561 3.978
Pa 2.684 4.263 3.978
Pa 2.684 4.472 0.884
Pa 3.183 1.351 8.840
Pa 3.183 1.561 5.745
Pa 5.617 4.263 5.745
Pa 5.617 4.472 8.840
Al 0.068 1.456 7.292
Al 2.865 4.367 7.292
Al 3.001 1.456 2.431
Al 5.798 4.367 2.431
Fe 1.467 0.000 5.965
Fe 1.467 2.912 8.620
Fe 4.400 0.000 3.758
Fe 4.400 2.912 1.103
```

8.
The following is a calculated powder diffraction line list of Ba2Zn4CdSi3. It was derived from a structure optimized by DFT (PBE), using CuKα.

Most intense lines, 2θ = 5–70°, sorted by position:
- 2θ = 21.5°, I = 15.0
- 2θ = 25.7°, I = 11.2
- 2θ = 31.6°, I = 42.1
- 2θ = 32.7°, I = 100.0
- 2θ = 40.4°, I = 43.0
- 2θ = 46.1°, I = 19.4
- 2θ = 52.2°, I = 19.9
- 2θ = 58.5°, I = 14.0
- 2θ = 62.9°, I = 15.0
- 2θ = 68.6°, I = 24.2

Structure:
```
10
Lattice="4.465 0.000 0.000 0.000 4.465 0.000 0.000 0.000 10.980" Properties=species:S:1:pos:R:3 pbc="T T T"
Ba 0.000 2.233 2.613
Ba 2.233 0.000 8.367
Zn 0.000 0.000 0.000
Zn 0.000 2.233 7.041
Zn 2.233 0.000 3.939
Zn 2.233 2.233 0.000
Cd 0.000 0.000 5.490
Si 0.000 2.233 9.607
Si 2.233 0.000 1.373
Si 2.233 2.233 5.490
```